1.
ZnGeW: computed powder diffractogram (CuKα), based on the GGA-PBE geometry in Alexandria.
Peak positions follow from Bragg's law for the DFT cell and can differ from measured ones.

Largest 6 diffraction maxima, by intensity, 10° ≤ 2θ ≤ 80°:
2theta	I (rel.)
37.15	100.0
45.42	99.0
11.19	86.7
32.03	55.0
26.85	43.2
49.85	42.8

Structure:
```
data_ZnGeW
_chemical_formula_sum 'Zn6 Ge6 W6'
_cell_length_a 3.9935
_cell_length_b 3.9935
_cell_length_c 23.7115
_cell_angle_alpha 90.00
_cell_angle_beta 90.00
_cell_angle_gamma 120.00
_space_group_name_H-M_alt 'R -3 m'
_space_group_IT_number 166
_space_group_name_Hall '-R 3 2"'
loop_
_atom_site_label
_atom_site_type_symbol
_atom_site_fract_x
_atom_site_fract_y
_atom_site_fract_z
Zn1 Zn 0.0000 0.0000 0.1327
Ge1 Ge 0.0000 0.0000 0.4176
W1 W 0.0000 0.0000 0.3055
```

2.
TbPr4Bi5: computed powder diffractogram (CuKα), based on the GGA-PBE geometry in Alexandria.
Peak positions follow from Bragg's law for the DFT cell and can differ from measured ones.

Largest 6 diffraction maxima, by intensity, 10° ≤ 2θ ≤ 80°:
2theta	I (rel.)
27.35	100.0
39.06	78.6
63.82	37.7
48.34	28.7
70.76	27.9
56.43	13.6

Structure:
```
data_TbPr4Bi5
_chemical_formula_sum 'Tb2 Pr8 Bi10'
_cell_length_a 4.616
_cell_length_b 6.523
_cell_length_c 23.042
_cell_angle_alpha 90.00
_cell_angle_beta 90.00
_cell_angle_gamma 90.00
_space_group_name_H-M_alt 'I m m m'
_space_group_IT_number 71
_space_group_name_Hall '-I 2 2'
loop_
_atom_site_label
_atom_site_type_symbol
_atom_site_fract_x
_atom_site_fract_y
_atom_site_fract_z
Tb1 Tb 0.000 0.000 0.000
Pr1 Pr 0.000 0.000 0.198
Pr2 Pr 0.000 0.000 0.400
Bi1 Bi 0.000 0.500 0.000
Bi2 Bi 0.000 0.500 0.201
Bi3 Bi 0.000 0.500 0.403
```